Theoretical X-ray powder pattern
Compound: ReNiHg2
Radiation: CuKα
Structure: a cell relaxed with GGA-PBE
Kinematic intensities with the Lorentz-polarization factor, no thermal factor.

Crystal structure
Cell: 6.500 6.500 6.500 Å, 90.00 90.00 90.00°
Element x y z (fractional)
Re: 0.000 0.000 0.000
Re: 0.000 0.500 0.500
Re: 0.500 0.000 0.500
Re: 0.500 0.500 0.000
Ni: 0.250 0.250 0.750
Ni: 0.250 0.750 0.250
Ni: 0.750 0.250 0.250
Ni: 0.750 0.750 0.750
Hg: 0.000 0.000 0.500
Hg: 0.000 0.500 0.000
Hg: 0.250 0.250 0.250
Hg: 0.250 0.750 0.750
Hg: 0.500 0.000 0.000
Hg: 0.500 0.500 0.500
Hg: 0.750 0.250 0.750
Hg: 0.750 0.750 0.250

Top 6 peaks for 2θ from 10° to 80°, low angle first:
Position (°2θ), d (Å), intensity
23.7, 3.753, 10
27.4, 3.250, 4
39.2, 2.298, 100
46.3, 1.960, 6
56.6, 1.625, 17
71.0, 1.327, 35



Theoretical X-ray powder pattern
Compound: Sr2Al5Pd4
Radiation: CuKα
Structure: a cell relaxed with GGA-PBE
Kinematic intensities with the Lorentz-polarization factor, no thermal factor.

Crystal structure
Cell: 18.254 4.330 11.074 Å, 90.00 90.00 90.00°
Element x y z (fractional)
Sr: 0.008 0.250 0.240
Sr: 0.194 0.750 0.166
Sr: 0.306 0.250 0.666
Sr: 0.492 0.750 0.740
Sr: 0.508 0.250 0.260
Sr: 0.694 0.750 0.334
Sr: 0.806 0.250 0.834
Sr: 0.992 0.750 0.760
Al: 0.047 0.250 0.543
Al: 0.101 0.250 0.953
Al: 0.163 0.750 0.609
Al: 0.174 0.750 0.859
Al: 0.177 0.250 0.429
Al: 0.323 0.750 0.929
Al: 0.326 0.250 0.359
Al: 0.337 0.250 0.109
Al: 0.399 0.750 0.453
Al: 0.453 0.750 0.043
Al: 0.547 0.250 0.957
Al: 0.601 0.250 0.547
Al: 0.663 0.750 0.891
Al: 0.674 0.750 0.641
Al: 0.677 0.250 0.071
Al: 0.823 0.750 0.571
Al: 0.826 0.250 0.141
Al: 0.837 0.250 0.391
Al: 0.899 0.750 0.047
Al: 0.953 0.750 0.457
Pd: 0.048 0.750 0.017
Pd: 0.091 0.750 0.419
Pd: 0.136 0.250 0.725
Pd: 0.244 0.250 0.936
Pd: 0.256 0.750 0.436
Pd: 0.364 0.750 0.225
Pd: 0.409 0.250 0.919
Pd: 0.452 0.250 0.517
Pd: 0.548 0.750 0.483
Pd: 0.591 0.750 0.081
Pd: 0.636 0.250 0.775
Pd: 0.744 0.250 0.564
Pd: 0.756 0.750 0.064
Pd: 0.864 0.750 0.275
Pd: 0.909 0.250 0.581
Pd: 0.952 0.250 0.983

Top 6 peaks for 2θ from 10° to 80°, low angle first:
Position (°2θ), d (Å), intensity
22.0, 4.033, 55
24.1, 3.689, 56
32.7, 2.735, 97
33.6, 2.666, 62
41.2, 2.190, 96
41.7, 2.165, 100